The following is a computed powder diffractogram of Te7RhCl7. It was derived from a DFT-relaxed cell (PBE, the Materials Project), using Cu Kα, 1.54184 Å.
Peak positions follow from Bragg's law for the DFT cell and can differ from measured ones.

Structure:
a b c (Å): 9.5547 10.4102 11.7584
angles (deg): 68.82 66.66 66.83
Space group P-1 (No. 2)
One atom of each set of equivalent atoms:
Te: 0.0415 0.1620 0.0147 x2
Te: 0.0574 0.1576 0.3378 x2
Te: 0.0693 0.6503 0.1955 x2
Te: 0.1910 0.4450 0.0303 x2
Te: 0.2057 0.4492 0.7026 x2
Te: 0.3391 0.7351 0.7284 x2
Te: 0.3425 0.2142 0.8811 x2
Rh: 0.0723 0.6479 0.8424 x2
Cl: 0.0197 0.6567 0.5326 x2
Cl: 0.1968 0.0028 0.6913 x2
Cl: 0.2076 0.9657 0.2053 x2
Cl: 0.3189 0.1748 0.2849 x2
Cl: 0.3239 0.7585 0.9613 x2
Cl: 0.3495 0.7568 0.5084 x2
Cl: 0.4726 0.5324 0.2680 x2

The 10 most intense peaks (10° ≤ 2θ ≤ 90°), by intensity:
- 10.54°, I = 1000, hkl 1 0 0
- 11.08°, I = 809, hkl 1 1 1
- 32.18°, I = 778, hkl 3 2 0
- 11.39°, I = 601, hkl 1 0 1
- 29.68°, I = 479, hkl 1 -1 3
- 33.71°, I = 439, hkl 0 3 3
- 33.54°, I = 386, hkl 2 -1 3
- 30.02°, I = 372, hkl 1 3 3
- 17.29°, I = 266, hkl 0 1 2
- 43.39°, I = 233, hkl 1 -4 0

The following is a computed powder diffractogram of Ge3Sb. It was derived from a DFT-relaxed cell (PBE, the Materials Project), using Cu Kα, 1.54184 Å.
Peak positions follow from Bragg's law for the DFT cell and can differ from measured ones.

Structure:
a b c (Å): 4.4282 4.4282 4.4282
angles (deg): 90.00 90.00 90.00
Space group Pm-3m (No. 221)
One atom of each set of equivalent atoms:
Ge: 0.0000 0.0000 0.5000 x3
Sb: 0.5000 0.5000 0.5000 x1

The 10 most intense peaks (10° ≤ 2θ ≤ 90°), by intensity:
- 35.10°, I = 1000, hkl 1 1 1
- 40.75°, I = 494, hkl 2 0 0
- 70.54°, I = 378, hkl 3 1 1
- 59.00°, I = 325, hkl 2 2 0
- 74.18°, I = 109, hkl 2 2 2
- 88.27°, I = 53, hkl 4 0 0
- 20.05°, I = 53, hkl 1 0 0
- 28.51°, I = 45, hkl 1 1 0
- 45.82°, I = 24, hkl 2 1 0
- 50.48°, I = 18, hkl 2 1 1

The following is a computed powder diffractogram of MgSc8Ga15Cu29. It was derived from a DFT-relaxed cell (PBE, the Materials Project), using Cu Kα, 1.54184 Å.
Peak positions follow from Bragg's law for the DFT cell and can differ from measured ones.

Structure:
a b c (Å): 8.4718 8.3166 11.7773
angles (deg): 90.00 110.67 90.00
Space group Pm (No. 6)
One atom of each set of equivalent atoms:
Mg: 0.0000 0.0000 0.0000 x1
Sc: 0.0160 0.2873 0.8504 x2
Sc: 0.1283 0.5000 0.4842 x1
Sc: 0.2236 0.0000 0.2709 x1
Sc: 0.4356 0.0000 0.7100 x1
Sc: 0.5234 0.5000 0.4853 x1
Sc: 0.6367 0.2746 0.1112 x2
Ga: 0.1267 0.5000 0.0814 x1
Ga: 0.1918 0.5000 0.7442 x1
Ga: 0.2364 0.3403 0.3038 x2
Ga: 0.3277 0.5000 0.9843 x1
Ga: 0.3358 0.0000 0.9842 x1
Ga: 0.4198 0.3396 0.6690 x2
Ga: 0.4639 0.5000 0.2227 x1
Ga: 0.5308 0.5000 0.8882 x1
Ga: 0.7256 0.5000 0.7460 x1
Ga: 0.7615 0.5000 0.3607 x1
Ga: 0.8281 0.5000 0.9852 x1
Ga: 0.8910 0.5000 0.6110 x1
Ga: 0.9243 0.5000 0.2246 x1
Cu: 0.0811 0.0000 0.4864 x1
Cu: 0.1276 0.2213 0.6401 x2
Cu: 0.1342 0.0000 0.7883 x1
Cu: 0.2878 0.2354 0.1063 x2
Cu: 0.3285 0.1697 0.4873 x2
Cu: 0.3654 0.2389 0.8629 x2
Cu: 0.5115 0.0000 0.1877 x1
Cu: 0.5291 0.2245 0.3307 x2
Cu: 0.5742 0.0000 0.4834 x1
Cu: 0.6232 0.0000 0.9669 x1
Cu: 0.6813 0.2230 0.6394 x2
Cu: 0.6861 0.2405 0.8669 x2
Cu: 0.7702 0.0000 0.3606 x1
Cu: 0.7982 0.0000 0.7869 x1
Cu: 0.8280 0.2516 0.4856 x2
Cu: 0.8490 0.0000 0.1722 x1
Cu: 0.8850 0.0000 0.6077 x1
Cu: 0.9698 0.2203 0.3290 x2
Cu: 0.9762 0.2520 0.1124 x2

The 10 most intense peaks (10° ≤ 2θ ≤ 90°), by intensity:
- 43.52°, I = 1000, hkl 0 4 0
- 40.61°, I = 876, hkl 3 2 -3
- 45.03°, I = 819, hkl 2 2 -5
- 39.23°, I = 750, hkl 0 2 4
- 44.79°, I = 731, hkl 2 2 3
- 40.44°, I = 545, hkl 3 2 0
- 39.87°, I = 518, hkl 1 3 -3
- 46.65°, I = 510, hkl 0 2 5
- 42.69°, I = 485, hkl 4 0 -2
- 43.97°, I = 411, hkl 3 2 -4

The following is a computed powder diffractogram of CaNb4O8. It was derived from a DFT-relaxed cell (PBE, the Materials Project), using Cu Kα, 1.54184 Å.
Peak positions follow from Bragg's law for the DFT cell and can differ from measured ones.

Structure:
a b c (Å): 9.8078 10.4353 9.8064
angles (deg): 90.00 94.79 90.00
Space group Cm (No. 8)
One atom of each set of equivalent atoms:
Ca: 0.0000 0.0000 0.0000 x2
Ca: 0.0214 0.5000 0.5205 x2
Ca: 0.2699 0.0000 0.2709 x2
Nb: 0.0057 0.2190 0.2794 x4
Nb: 0.0088 0.2828 0.7791 x4
Nb: 0.2788 0.2187 0.0037 x4
Nb: 0.2800 0.2821 0.5110 x4
Nb: 0.2944 0.5000 0.2958 x2
Nb: 0.2963 0.0000 0.7950 x2
Nb: 0.4906 0.5000 0.4948 x2
Nb: 0.4957 0.0000 0.9916 x2
O: 0.1252 0.3605 0.9384 x4
O: 0.1292 0.1319 0.4299 x4
O: 0.1405 0.1567 0.1423 x4
O: 0.1405 0.3333 0.6387 x4
O: 0.1563 0.1320 0.8527 x4
O: 0.1567 0.3667 0.3550 x4
O: 0.3528 0.3663 0.1570 x4
O: 0.3547 0.1316 0.6559 x4
O: 0.3931 0.1662 0.3933 x4
O: 0.3948 0.3266 0.8945 x4
O: 0.4302 0.1327 0.1290 x4
O: 0.4380 0.3612 0.6255 x4

The 10 most intense peaks (10° ≤ 2θ ≤ 90°), by intensity:
- 30.11°, I = 1000, hkl 2 2 -2
- 31.95°, I = 886, hkl 2 2 2
- 51.23°, I = 446, hkl 4 4 0
- 36.79°, I = 307, hkl 4 0 0
- 14.92°, I = 293, hkl 1 1 -1
- 61.09°, I = 219, hkl 6 2 -2
- 15.82°, I = 217, hkl 1 1 1
- 38.41°, I = 198, hkl 3 3 -1
- 50.58°, I = 150, hkl 4 0 -4
- 18.15°, I = 141, hkl 2 0 0

The following is a computed powder diffractogram of Ho5BiAu2. It was derived from a DFT-relaxed cell (PBE, the Materials Project), using Cu Kα, 1.54184 Å.
Peak positions follow from Bragg's law for the DFT cell and can differ from measured ones.

Structure:
a b c (Å): 8.1472 8.1472 13.0290
angles (deg): 90.00 90.00 90.00
Space group I4/mcm (No. 140)
One atom of each set of equivalent atoms:
Ho: 0.0000 0.0000 0.0000 x4
Ho: 0.1548 0.3452 0.1401 x16
Bi: 0.0000 0.0000 0.2500 x4
Au: 0.1379 0.3621 0.5000 x8

The 10 most intense peaks (10° ≤ 2θ ≤ 90°), by intensity:
- 32.07°, I = 1000, hkl 2 1 3
- 34.82°, I = 664, hkl 3 1 0
- 35.28°, I = 198, hkl 2 0 4
- 65.31°, I = 191, hkl 5 2 3
- 42.66°, I = 173, hkl 2 1 5
- 68.11°, I = 156, hkl 3 1 8
- 31.55°, I = 149, hkl 1 1 4
- 64.76°, I = 128, hkl 4 4 0
- 31.05°, I = 109, hkl 2 2 0
- 50.07°, I = 98, hkl 4 2 0

The following is a computed powder diffractogram of Fe3N. It was derived from a DFT-relaxed cell (PBE, the Materials Project), using Cu Kα, 1.54184 Å.
Peak positions follow from Bragg's law for the DFT cell and can differ from measured ones.

Structure:
a b c (Å): 4.6588 4.6588 4.3222
angles (deg): 90.00 90.00 120.00
Space group P6_322 (No. 182)
One atom of each set of equivalent atoms:
Fe: 0.0000 0.3268 0.0000 x6
N: 0.3333 0.6667 0.7500 x2

The 10 most intense peaks (10° ≤ 2θ ≤ 90°), by intensity:
- 44.17°, I = 1000, hkl 1 1 1
- 41.80°, I = 228, hkl 0 0 2
- 38.65°, I = 181, hkl 1 1 0
- 58.24°, I = 173, hkl 1 1 2
- 69.95°, I = 166, hkl 3 0 0
- 77.98°, I = 160, hkl 1 1 3
- 84.93°, I = 150, hkl 3 0 2
- 86.55°, I = 120, hkl 2 2 1
- 30.30°, I = 19, hkl 1 0 1
- 82.89°, I = 18, hkl 2 2 0

The following is a computed powder diffractogram of Sr5Nb5O17. It was derived from a DFT-relaxed cell (PBE, the Materials Project), using Cu Kα, 1.54184 Å.
Peak positions follow from Bragg's law for the DFT cell and can differ from measured ones.

Structure:
a b c (Å): 5.7517 33.1519 4.0488
angles (deg): 90.00 90.00 90.00
Space group Pnnm (No. 58)
One atom of each set of equivalent atoms:
Sr: 0.0000 0.0000 0.0000 x2
Sr: 0.0023 0.4099 0.5000 x4
Sr: 0.0670 0.7830 0.0000 x4
Nb: 0.0000 0.5000 0.0000 x2
Nb: 0.0052 0.9100 0.5000 x4
Nb: 0.0342 0.6768 0.0000 x4
O: 0.0000 0.5000 0.5000 x2
O: 0.0016 0.6691 0.5000 x4
O: 0.0090 0.0834 0.0000 x4
O: 0.1832 0.2798 0.0000 x4
O: 0.2017 0.2089 0.5000 x4
O: 0.2060 0.6202 0.0000 x4
O: 0.2191 0.0363 0.5000 x4
O: 0.2224 0.4519 0.0000 x4
O: 0.2246 0.8680 0.5000 x4

The 10 most intense peaks (10° ≤ 2θ ≤ 90°), by intensity:
- 31.50°, I = 1000, hkl 1 6 1
- 29.04°, I = 835, hkl 1 4 1
- 31.10°, I = 459, hkl 2 0 0
- 26.90°, I = 456, hkl 0 10 0
- 55.55°, I = 424, hkl 2 0 2
- 44.77°, I = 395, hkl 0 0 2
- 45.53°, I = 304, hkl 2 12 0
- 41.57°, I = 256, hkl 2 10 0
- 57.24°, I = 210, hkl 1 18 1
- 27.47°, I = 209, hkl 1 2 1

The following is a computed powder diffractogram of TbDyIn2. It was derived from a DFT-relaxed cell (PBE, the Materials Project), using Cu Kα, 1.54184 Å.
Peak positions follow from Bragg's law for the DFT cell and can differ from measured ones.

Structure:
a b c (Å): 7.5530 7.5530 7.5530
angles (deg): 90.00 90.00 90.00
Space group Fm-3m (No. 225)
One atom of each set of equivalent atoms:
Tb: 0.0000 0.0000 0.0000 x4
Dy: 0.0000 0.0000 0.5000 x4
In: 0.2500 0.2500 0.2500 x8

The 9 most intense peaks (10° ≤ 2θ ≤ 90°), by intensity:
- 33.56°, I = 1000, hkl 2 2 0
- 60.00°, I = 370, hkl 4 2 2
- 48.19°, I = 180, hkl 4 0 0
- 80.41°, I = 159, hkl 6 2 0
- 70.53°, I = 113, hkl 4 4 0
- 23.56°, I = 27, hkl 2 0 0
- 54.32°, I = 13, hkl 4 2 0
- 41.41°, I = 9, hkl 2 2 2
- 75.53°, I = 7, hkl 6 0 0

Q: Which formula does entry 2 have?
A: Ge3Sb